# 1
Simulated X-ray diffraction stick pattern
Compound: Pu3Th5Bi8
Radiation: CuKα
Structure: a DFT-relaxed cell (GGA-PBE, Alexandria)
Kinematic intensities with the Lorentz-polarization factor, no thermal factor.

Largest 5 diffraction maxima, in order of falling intensity, 2θ = 5–70°:
2θ (°), d_spacing, Rel. int.
27.51, 3.242, 100.0
39.30, 2.293, 79.4
64.23, 1.450, 38.8
48.64, 1.872, 29.2
56.79, 1.621, 13.9

Cell and atoms:
```
data_Pu3Th5Bi8
_chemical_formula_sum 'Pu9 Th15 Bi24'
_symmetry_space_group_name_H-M 'R -3 m'
_symmetry_Int_Tables_number 166
_symmetry_space_group_name_Hall '-R 3 2"'
_cell_length_a 9.1741
_cell_length_b 9.1741
_cell_length_c 22.4495
_cell_angle_alpha 90.00
_cell_angle_beta 90.00
_cell_angle_gamma 120.00
loop_
_atom_site_label
_atom_site_type_symbol
_atom_site_fract_x
_atom_site_fract_y
_atom_site_fract_z
_atom_site_occupancy
Pu1 Pu 0.0000 0.5000 0.0000 1
Th1 Th 0.0000 0.0000 0.0000 1
Th2 Th 0.0000 0.0000 0.5000 1
Th3 Th 0.0000 0.5000 0.5000 1
Bi1 Bi 0.0000 0.0000 0.2511 1
Bi2 Bi 0.0016 0.5008 0.2508 1
```

# 2
Simulated X-ray diffraction stick pattern
Compound: V5Sn2H2
Radiation: CuKα
Structure: a DFT-relaxed cell (GGA-PBE, Alexandria)
Kinematic intensities with the Lorentz-polarization factor, no thermal factor.

Largest 6 diffraction maxima, in order of falling intensity, 2θ = 5–70°:
2θ (°), d_spacing, Rel. int.
40.81, 2.211, 100.0
35.59, 2.523, 69.7
42.29, 2.137, 67.7
30.33, 2.947, 67.2
41.44, 2.179, 62.8
37.08, 2.424, 48.2

Cell and atoms:
```
data_V5Sn2H2
_chemical_formula_sum 'V10 Sn4 H4'
_symmetry_space_group_name_H-M 'C 1 2/m 1'
_symmetry_Int_Tables_number 12
_cell_length_a 10.1598
_cell_length_b 3.7351
_cell_length_c 6.8481
_cell_angle_alpha 90.00
_cell_angle_beta 107.34
_cell_angle_gamma 90.00
loop_
_symmetry_equiv_pos_as_xyz
'x,y,z'
'-x,-y,-z'
'-x,y,-z'
'x,-y,z'
'x+1/2,y+1/2,z'
'-x+1/2,-y+1/2,-z'
'-x+1/2,y+1/2,-z'
'x+1/2,-y+1/2,z'
loop_
_atom_site_label
_atom_site_type_symbol
_atom_site_fract_x
_atom_site_fract_y
_atom_site_fract_z
_atom_site_occupancy
V1 V 0.0000 0.0000 0.0000 1
V2 V 0.1077 0.0000 0.6608 1
V3 V 0.1524 0.5000 0.9588 1
Sn1 Sn 0.1089 0.5000 0.3443 1
H1 H 0.1617 0.0000 0.9401 1
```